(1)
The following is a calculated powder diffractogram of K2AcErS4. It was derived from a cell relaxed with GGA-PBE, using Cu Kα (weighted mean of Kα1 and Kα2).
Intensities are scaled so that the largest is 1000.

Structure:
Cell: 7.3336 4.2247 7.7932 Å, 90.00 108.17 90.00°
Element x y z (fractional)
K1 0.0000 0.0000 0.0000
K2 0.5000 0.5000 0.0000
Ac1 0.0000 0.5000 0.5000
Er1 0.5000 0.0000 0.5000
S1 0.2576 0.0000 0.7100
S2 0.2834 0.5000 0.2979
S3 0.7166 0.5000 0.7021
S4 0.7423 0.0000 0.2900

Largest 12 diffraction maxima, low angle first, 2θ from 10° to 80°:
2θ 11.95, I = 844; 2θ 24.04, I = 187; 2θ 24.63, I = 357; 2θ 25.61, I = 439; 2θ 29.21, I = 1000; 2θ 31.66, I = 137; 2θ 37.50, I = 214; 2θ 40.78, I = 362; 2θ 42.76, I = 349; 2θ 44.56, I = 212; 2θ 49.63, I = 118; 2θ 52.67, I = 122

=====

(2)
The following is a calculated powder diffractogram of PrNdDy3Th. It was derived from a cell relaxed with GGA-PBE, using Cu Kα (weighted mean of Kα1 and Kα2).
Intensities are scaled so that the largest is 1000.

Structure:
Cell: 10.3662 10.3662 7.0869 Å, 90.20 90.20 31.62°
Element x y z (fractional)
Pr1 0.1465 0.1465 0.4606
Pr2 0.8535 0.8535 0.5394
Nd1 0.1477 0.1477 0.0372
Nd2 0.8523 0.8523 0.9628
Dy1 0.0231 0.0231 0.7516
Dy2 0.2789 0.2789 0.7484
Dy3 0.3433 0.3433 0.2475
Dy4 0.6567 0.6567 0.7525
Dy5 0.7211 0.7211 0.2516
Dy6 0.9769 0.9769 0.2484
Th1 0.4458 0.4458 0.7578
Th2 0.5542 0.5542 0.2422

Largest 12 diffraction maxima, low angle first, 2θ from 10° to 80°:
2θ 25.13, I = 255; 2θ 30.14, I = 1000; 2θ 30.22, I = 696; 2θ 31.01, I = 138; 2θ 31.69, I = 697; 2θ 32.73, I = 672; 2θ 35.28, I = 330; 2θ 40.86, I = 144; 2θ 44.89, I = 178; 2θ 55.50, I = 329; 2θ 57.10, I = 137; 2θ 61.82, I = 162

=====

(3)
The following is a calculated powder diffractogram of Nb8Co2Sb4Pd. It was derived from a cell relaxed with GGA-PBE, using Cu Kα (weighted mean of Kα1 and Kα2).
Intensities are scaled so that the largest is 1000.

Structure:
Cell: 7.8640 7.8640 7.8640 Å, 95.68 95.68 143.31°
Element x y z (fractional)
Nb1 0.0554 0.6793 0.2165
Nb2 0.1612 0.9446 0.6239
Nb3 0.3207 0.5372 0.3761
Nb4 0.4628 0.8388 0.7835
Nb5 0.5372 0.3207 0.3761
Nb6 0.6793 0.0554 0.2165
Nb7 0.8388 0.4628 0.7835
Nb8 0.9446 0.1612 0.6239
Co1 0.0000 0.5000 0.5000
Co2 0.5000 0.0000 0.5000
Sb1 0.1289 0.4308 0.0000
Sb2 0.4308 0.1289 0.0000
Sb3 0.5692 0.5692 0.6981
Sb4 0.8711 0.8711 0.3019
Pd1 0.0000 0.0000 0.0000

Largest 12 diffraction maxima, low angle first, 2θ from 10° to 80°:
2θ 26.08, I = 194; 2θ 35.63, I = 734; 2θ 36.30, I = 270; 2θ 38.13, I = 323; 2θ 39.63, I = 1000; 2θ 40.25, I = 203; 2θ 43.89, I = 192; 2θ 50.05, I = 129; 2θ 50.56, I = 154; 2θ 62.18, I = 147; 2θ 67.55, I = 257; 2θ 74.18, I = 170